For Ca2Pr4Sm, a DFT-relaxed cell (PBE, Alexandria) gives the computed XRD peak list in this record (Cu Kα, 1.54184 Å).
Intensities are scaled so that the largest is 100.

Most intense lines, 5° ≤ 2θ ≤ 70°, by angle:
- (0 0 2), 7.4°, I = 72
- (1 0 3), 27.0°, I = 40
- (1 1 0), 28.8°, I = 20
- (0 2 0), 29.8°, I = 60
- (0 1 7), 30.0°, I = 90
- (1 1 4), 32.5°, I = 100
- (1 1 6), 36.7°, I = 21
- (1 2 3), 40.7°, I = 27
- (1 0 11), 48.7°, I = 21
- (1 3 4), 54.7°, I = 23
- (1 2 11), 58.2°, I = 24
- (2 1 7), 59.8°, I = 25

Atomic structure:
Cell lengths 3.617, 5.990, 24.020 Å; angles 90.00, 90.00, 90.00 degrees
Space group Immm (No. 71)
Inequivalent atoms, fractional coordinates:
Ca (0.000, 0.000, 0.221) (multiplicity 4)
Pr (0.000, 0.500, 0.131) (multiplicity 4)
Pr (0.000, 0.500, 0.420) (multiplicity 4)
Sm (0.000, 0.000, 0.500) (multiplicity 2)

For ThAgBr6, a DFT-relaxed cell (PBE, Alexandria) gives the computed XRD peak list in this record (Cu Kα, 1.54184 Å).
Intensities are scaled so that the largest is 100.

Most intense lines, 5° ≤ 2θ ≤ 70°, by angle:
- (0 1 0), 15.6°, I = 68
- (1 1 1), 17.7°, I = 100
- (1 0 1), 22.7°, I = 34
- (0 1 2), 23.8°, I = 23
- (1 2 0), 27.4°, I = 33
- (-1 1 2), 28.7°, I = 41
- (2 1 1), 29.5°, I = 40
- (1 2 -1), 36.0°, I = 27
- (1 2 3), 38.5°, I = 36
- (0 3 2), 41.2°, I = 29
- (3 0 -1), 44.7°, I = 24
- (3 3 1), 45.9°, I = 22

Atomic structure:
Cell lengths 6.760, 7.315, 7.495 Å; angles 62.86, 89.79, 64.38 degrees
Space group P-1 (No. 2)
Inequivalent atoms, fractional coordinates:
Th (0.000, 0.000, 0.000) (multiplicity 1)
Ag (0.500, 0.000, 0.500) (multiplicity 1)
Br (0.061, 0.546, 0.229) (multiplicity 2)
Br (0.269, 0.829, 0.754) (multiplicity 2)
Br (0.415, 0.839, 0.272) (multiplicity 2)

For Y6Ga3Cu, a DFT-relaxed cell (PBE, Alexandria) gives the computed XRD peak list in this record (Cu Kα, 1.54184 Å).
Intensities are scaled so that the largest is 100.

Most intense lines, 5° ≤ 2θ ≤ 70°, by angle:
- (1 0 2), 29.5°, I = 34
- (2 1 -2), 30.8°, I = 49
- (1 2 1), 30.9°, I = 44
- (1 2 -3), 31.3°, I = 47
- (1 1 2), 31.4°, I = 60
- (2 1 -1), 31.8°, I = 49
- (1 1 -4), 32.0°, I = 57
- (2 1 -3), 32.2°, I = 56
- (0 2 3), 33.8°, I = 38
- (0 0 4), 34.9°, I = 34
- (1 3 -1), 35.3°, I = 100
- (0 4 3), 51.2°, I = 45

Atomic structure:
Cell lengths 6.199, 8.363, 11.894 Å; angles 90.00, 120.12, 90.00 degrees
Space group P2_1/c (No. 14)
Inequivalent atoms, fractional coordinates:
Y (0.058, 0.173, 0.433) (multiplicity 4)
Y (0.314, 0.681, 0.433) (multiplicity 4)
Y (0.398, 0.055, 0.256) (multiplicity 4)
Ga (0.000, 0.000, 0.000) (multiplicity 2)
Ga (0.173, 0.112, 0.756) (multiplicity 4)
Cu (0.500, 0.000, 0.500) (multiplicity 2)

For Pm6HoPb10, a DFT-relaxed cell (PBE, Alexandria) gives the computed XRD peak list in this record (Cu Kα, 1.54184 Å).
Intensities are scaled so that the largest is 100.

Most intense lines, 5° ≤ 2θ ≤ 70°, by angle:
- (2 1 0), 28.6°, I = 17
- (3 -1 1), 31.7°, I = 82
- (3 0 0), 32.5°, I = 68
- (1 1 2), 33.1°, I = 100
- (3 1 1), 41.8°, I = 12
- (4 -2 2), 47.1°, I = 26
- (3 2 1), 50.1°, I = 16
- (3 -1 3), 50.9°, I = 13
- (0 0 4), 56.0°, I = 10
- (4 1 2), 58.4°, I = 11
- (6 -1 1), 64.4°, I = 11
- (3 0 4), 66.3°, I = 14

Atomic structure:
Cell lengths 9.5320, 9.5320, 6.5726 Å; angles 90.00, 90.00, 120.00 degrees
Space group P-31m (No. 162)
Inequivalent atoms, fractional coordinates:
Pm (0.0000, 0.3887, 0.2639) (multiplicity 6)
Ho (0.0000, 0.0000, 0.5000) (multiplicity 1)
Pb (0.0000, 0.2587, 0.7956) (multiplicity 6)
Pb (0.3333, 0.6667, 0.0000) (multiplicity 2)
Pb (0.3333, 0.6667, 0.5000) (multiplicity 2)

For Pm5TmRh6, a DFT-relaxed cell (PBE, Alexandria) gives the computed XRD peak list in this record (Cu Kα, 1.54184 Å).
Intensities are scaled so that the largest is 100.

Most intense lines, 5° ≤ 2θ ≤ 70°, by angle:
- (1 3 0), 25.4°, I = 4
- (0 0 2), 25.7°, I = 2
- (2 0 0), 36.2°, I = 51
- (1 3 2), 36.4°, I = 100
- (0 6 2), 44.9°, I = 2
- (2 6 0), 52.1°, I = 18
- (0 0 4), 52.9°, I = 8
- (1 9 0), 58.8°, I = 1
- (2 6 2), 59.0°, I = 1
- (1 3 4), 59.5°, I = 1
- (3 3 2), 65.2°, I = 36
- (2 0 4), 65.7°, I = 17

Atomic structure:
Cell lengths 4.963, 14.910, 6.925 Å; angles 90.00, 90.00, 90.00 degrees
Space group Cmmm (No. 65)
Inequivalent atoms, fractional coordinates:
Pm (0.000, 0.000, 0.000) (multiplicity 2)
Pm (0.000, 0.333, 0.000) (multiplicity 4)
Pm (0.000, 0.334, 0.500) (multiplicity 4)
Tm (0.000, 0.000, 0.500) (multiplicity 2)
Rh (0.000, 0.163, 0.254) (multiplicity 8)
Rh (0.000, 0.500, 0.258) (multiplicity 4)

For PaIn2Tc, a DFT-relaxed cell (PBE, Alexandria) gives the computed XRD peak list in this record (Cu Kα, 1.54184 Å).
Intensities are scaled so that the largest is 100.

Most intense lines, 5° ≤ 2θ ≤ 70°, by angle:
- (1 0 0), 19.0°, I = 11
- (1 2 0), 31.1°, I = 100
- (1 2 -1), 32.7°, I = 52
- (0 0 2), 36.2°, I = 13
- (2 0 -1), 36.8°, I = 37
- (1 1 -2), 37.2°, I = 25
- (0 1 2), 38.4°, I = 32
- (0 3 1), 41.4°, I = 15
- (1 2 -2), 43.2°, I = 16
- (0 4 0), 50.0°, I = 12
- (1 3 2), 61.0°, I = 16
- (3 2 -1), 61.8°, I = 18

Atomic structure:
Cell lengths 4.941, 7.291, 5.238 Å; angles 90.00, 108.87, 90.00 degrees
Space group P2_1/m (No. 11)
Inequivalent atoms, fractional coordinates:
Pa (0.029, 0.250, 0.134) (multiplicity 2)
In (0.392, 0.046, 0.718) (multiplicity 4)
Tc (0.110, 0.750, 0.340) (multiplicity 2)

For Sm6Ir2N, a DFT-relaxed cell (PBE, Alexandria) gives the computed XRD peak list in this record (Cu Kα, 1.54184 Å).
Intensities are scaled so that the largest is 100.

Most intense lines, 5° ≤ 2θ ≤ 70°, by angle:
- (1 0 2), 30.6°, I = 43
- (0 2 2), 30.9°, I = 100
- (2 1 -1), 31.1°, I = 61
- (1 0 -4), 31.4°, I = 46
- (2 1 -3), 31.6°, I = 67
- (2 0 0), 32.5°, I = 38
- (1 1 2), 33.1°, I = 40
- (2 0 -4), 33.6°, I = 95
- (1 1 -4), 33.8°, I = 51
- (1 2 -3), 34.1°, I = 40
- (0 0 4), 37.4°, I = 96
- (1 3 0), 40.8°, I = 42

Atomic structure:
Cell lengths 6.564, 7.249, 11.492 Å; angles 90.00, 123.00, 90.00 degrees
Space group P2_1/c (No. 14)
Inequivalent atoms, fractional coordinates:
Sm (0.118, 0.041, 0.241) (multiplicity 4)
Sm (0.236, 0.691, 0.064) (multiplicity 4)
Sm (0.367, 0.170, 0.058) (multiplicity 4)
Ir (0.299, 0.101, 0.756) (multiplicity 4)
N (0.000, 0.000, 0.000) (multiplicity 2)

For Pm2MgBePt6, a DFT-relaxed cell (PBE, Alexandria) gives the computed XRD peak list in this record (Cu Kα, 1.54184 Å).
Intensities are scaled so that the largest is 100.

Most intense lines, 5° ≤ 2θ ≤ 70°, by angle:
- (0 0 6), 26.2°, I = 44
- (0 1 5), 28.4°, I = 25
- (1 1 3), 34.1°, I = 14
- (1 0 7), 35.8°, I = 17
- (2 0 2), 37.5°, I = 100
- (0 0 9), 39.7°, I = 10
- (0 2 4), 40.6°, I = 70
- (1 0 10), 48.3°, I = 11
- (2 0 8), 51.5°, I = 25
- (2 1 7), 58.7°, I = 14
- (2 0 11), 62.6°, I = 8
- (2 2 0), 65.5°, I = 23

Atomic structure:
Cell lengths 5.6983, 5.6983, 20.4202 Å; angles 90.00, 90.00, 120.00 degrees
Space group R-3m (No. 166, hexagonal axes)
Inequivalent atoms, fractional coordinates:
Pm (0.0000, 0.0000, 0.2131) (multiplicity 6)
Mg (0.0000, 0.0000, 0.5000) (multiplicity 3)
Be (0.0000, 0.0000, 0.0000) (multiplicity 3)
Pt (0.0098, 0.5049, 0.2655) (multiplicity 18)